1.
Starting from a GGA-PBE-relaxed structure, the powder diffractogram of Sr2Ta2O7 was simulated for Cu Ka.
Kinematic intensities with the Lorentz-polarization factor, no thermal factor.

Principal peaks in the range 2θ from 10° to 90°, by intensity:
2θ (°)	I_rel
31.7	100.0
28.9	67.3
45.5	58.8
31.1	46.4
24.7	41.0
20.1	38.8
22.5	32.1
49.0	30.5

Structural model:
abc: 13.9729 13.9729 5.7557
angles: 90.00 90.00 163.58
Element x y z (fractional)
Sr: 0.0534 0.9466 0.7500
Sr: 0.2146 0.7854 0.2500
Sr: 0.7854 0.2146 0.7500
Sr: 0.9466 0.0534 0.2500
Ta: 0.3409 0.6591 0.2500
Ta: 0.4453 0.5547 0.7500
Ta: 0.5547 0.4453 0.2500
Ta: 0.6591 0.3409 0.7500
O: 0.0470 0.9530 0.2500
O: 0.1491 0.8509 0.7500
O: 0.2942 0.7058 0.0119
O: 0.2942 0.7058 0.4881
O: 0.4010 0.5990 0.0076
O: 0.4010 0.5990 0.4924
O: 0.5000 0.5000 0.0000
O: 0.5000 0.5000 0.5000
O: 0.5990 0.4010 0.5076
O: 0.5990 0.4010 0.9924
O: 0.7058 0.2942 0.5119
O: 0.7058 0.2942 0.9881
O: 0.8509 0.1491 0.2500
O: 0.9530 0.0470 0.7500

2.
Starting from a GGA-PBE-relaxed structure, the powder diffractogram of Sr5Ta4O15 was simulated for Cu Ka.
Kinematic intensities with the Lorentz-polarization factor, no thermal factor.

Principal peaks in the range 2θ from 10° to 90°, by intensity:
2θ (°)	I_rel
29.1	100.0
31.3	83.7
43.3	51.1
54.4	36.2
23.5	25.5
50.2	21.6
55.7	16.9
69.6	16.2

Structural model:
abc: 5.7154 5.7154 11.7132
angles: 90.00 90.00 120.00
Element x y z (fractional)
Sr: 0.0000 0.0000 0.0000
Sr: 0.3333 0.6667 0.4439
Sr: 0.3333 0.6667 0.7783
Sr: 0.6667 0.3333 0.2217
Sr: 0.6667 0.3333 0.5561
Ta: 0.0000 0.0000 0.3149
Ta: 0.0000 0.0000 0.6851
Ta: 0.3333 0.6667 0.1039
Ta: 0.6667 0.3333 0.8961
O: 0.0000 0.5000 0.0000
O: 0.1648 0.3296 0.1913
O: 0.1648 0.8352 0.1913
O: 0.1684 0.3368 0.6105
O: 0.1684 0.8316 0.6105
O: 0.3296 0.1648 0.8087
O: 0.3368 0.1684 0.3895
O: 0.5000 0.0000 0.0000
O: 0.5000 0.5000 0.0000
O: 0.6632 0.8316 0.6105
O: 0.6704 0.8352 0.1913
O: 0.8316 0.1684 0.3895
O: 0.8316 0.6632 0.3895
O: 0.8352 0.1648 0.8087
O: 0.8352 0.6704 0.8087

3.
Starting from a GGA-PBE-relaxed structure, the powder diffractogram of SrTa2O7 was simulated for Cu Ka.
Kinematic intensities with the Lorentz-polarization factor, no thermal factor.

Principal peaks in the range 2θ from 10° to 90°, by intensity:
2θ (°)	I_rel
26.5	100.0
32.6	85.3
22.8	68.8
31.8	65.3
18.7	50.1
45.6	40.2
57.2	36.6
50.3	30.3

Structural model:
abc: 9.9140 9.9140 9.9140
angles: 156.86 156.86 32.95
Element x y z (fractional)
Sr: 0.0000 0.0000 0.0000
Ta: 0.3849 0.3849 0.0000
Ta: 0.6151 0.6151 0.0000
O: 0.0995 0.5995 0.5000
O: 0.2885 0.2885 0.0000
O: 0.4005 0.9005 0.5000
O: 0.5000 0.5000 0.0000
O: 0.5995 0.0995 0.5000
O: 0.7115 0.7115 0.0000
O: 0.9005 0.4005 0.5000

4.
Starting from a GGA-PBE-relaxed structure, the powder diffractogram of SrTa2O7 was simulated for Cu Ka.
Kinematic intensities with the Lorentz-polarization factor, no thermal factor.

Principal peaks in the range 2θ from 10° to 90°, by intensity:
2θ (°)	I_rel
29.6	100.0
22.3	70.8
31.8	51.7
55.3	36.6
19.2	33.5
45.6	31.8
36.9	25.6
51.1	18.4

Structural model:
abc: 3.9826 3.9826 9.2509
angles: 90.00 90.00 90.00
Element x y z (fractional)
Sr: 0.0000 0.0000 0.0000
Ta: 0.5000 0.5000 0.2217
Ta: 0.5000 0.5000 0.7783
O: 0.0000 0.5000 0.1981
O: 0.0000 0.5000 0.8019
O: 0.5000 0.0000 0.1981
O: 0.5000 0.0000 0.8019
O: 0.5000 0.5000 0.0000
O: 0.5000 0.5000 0.4274
O: 0.5000 0.5000 0.5726

5.
Starting from a GGA-PBE-relaxed structure, the powder diffractogram of Sr2Ta2O7 was simulated for Cu Ka.
Kinematic intensities with the Lorentz-polarization factor, no thermal factor.

Principal peaks in the range 2θ from 10° to 90°, by intensity:
2θ (°)	I_rel
31.7	100.0
28.9	67.1
45.5	58.5
31.1	46.2
24.8	40.8
20.1	38.6
22.5	32.1
49.0	30.3

Structural model:
abc: 13.9664 13.9664 5.7545
angles: 90.00 90.00 163.57
Element x y z (fractional)
Sr: 0.0534 0.9466 0.5000
Sr: 0.2145 0.7855 0.0127
Sr: 0.7855 0.2145 0.5128
Sr: 0.9466 0.0534 0.0000
Ta: 0.3409 0.6591 0.0063
Ta: 0.4453 0.5547 0.5021
Ta: 0.5547 0.4453 0.0021
Ta: 0.6591 0.3409 0.5063
O: 0.0470 0.9530 0.9991
O: 0.1491 0.8509 0.5017
O: 0.2928 0.7072 0.7736
O: 0.2956 0.7044 0.2499
O: 0.3991 0.6009 0.7497
O: 0.4029 0.5971 0.2347
O: 0.4981 0.5019 0.7581
O: 0.5019 0.4981 0.2581
O: 0.5971 0.4029 0.7347
O: 0.6009 0.3991 0.2497
O: 0.7044 0.2956 0.7499
O: 0.7072 0.2928 0.2736
O: 0.8509 0.1491 0.0017
O: 0.9530 0.0470 0.4991

6.
Starting from a GGA-PBE-relaxed structure, the powder diffractogram of Sr3Ta5O15 was simulated for Cu Ka.
Kinematic intensities with the Lorentz-polarization factor, no thermal factor.

Principal peaks in the range 2θ from 10° to 90°, by intensity:
2θ (°)	I_rel
31.8	100.0
22.3	56.3
29.2	50.7
56.6	42.5
25.5	40.9
51.3	39.8
27.4	37.4
45.6	37.1

Structural model:
abc: 12.5971 12.5971 3.9786
angles: 90.00 90.00 90.00
Element x y z (fractional)
Sr: 0.0000 0.0000 0.0000
Sr: 0.1635 0.3365 0.0000
Sr: 0.3365 0.8365 0.0000
Sr: 0.5000 0.5000 0.0000
Sr: 0.6635 0.1635 0.0000
Sr: 0.8365 0.6635 0.0000
Ta: 0.0000 0.5000 0.5000
Ta: 0.0800 0.7898 0.5000
Ta: 0.2102 0.0800 0.5000
Ta: 0.2898 0.5800 0.5000
Ta: 0.4200 0.2898 0.5000
Ta: 0.5000 0.0000 0.5000
Ta: 0.5800 0.7102 0.5000
Ta: 0.7102 0.4200 0.5000
Ta: 0.7898 0.9200 0.5000
Ta: 0.9200 0.2102 0.5000
O: 0.0000 0.5000 0.0000
O: 0.0085 0.3416 0.5000
O: 0.0632 0.1364 0.5000
O: 0.0810 0.7931 0.0000
O: 0.1364 0.9368 0.5000
O: 0.1584 0.4915 0.5000
O: 0.2069 0.0810 0.0000
O: 0.2293 0.7293 0.5000
O: 0.2707 0.2293 0.5000
O: 0.2931 0.5810 0.0000
O: 0.3416 0.9915 0.5000
O: 0.3636 0.4368 0.5000
O: 0.4190 0.2931 0.0000
O: 0.4368 0.6364 0.5000
O: 0.4915 0.8416 0.5000
O: 0.5000 0.0000 0.0000
O: 0.5085 0.1584 0.5000
O: 0.5632 0.3636 0.5000
O: 0.5810 0.7069 0.0000
O: 0.6364 0.5632 0.5000
O: 0.6584 0.0085 0.5000
O: 0.7069 0.4190 0.0000
O: 0.7293 0.7707 0.5000
O: 0.7707 0.2707 0.5000
O: 0.7931 0.9190 0.0000
O: 0.8416 0.5085 0.5000
O: 0.8636 0.0632 0.5000
O: 0.9190 0.2069 0.0000
O: 0.9368 0.8636 0.5000
O: 0.9915 0.6584 0.5000

7.
Starting from a GGA-PBE-relaxed structure, the powder diffractogram of Sr5Ta4O15 was simulated for Cu Ka.
Kinematic intensities with the Lorentz-polarization factor, no thermal factor.

Principal peaks in the range 2θ from 10° to 90°, by intensity:
2θ (°)	I_rel
29.2	100.0
31.3	81.6
43.4	48.6
54.5	36.3
50.5	30.6
23.6	24.4
69.8	18.7
55.8	18.7

Structural model:
abc: 5.7089 5.7089 23.3154
angles: 90.00 90.00 120.00
Element x y z (fractional)
Sr: 0.0000 0.0000 0.2500
Sr: 0.0000 0.0000 0.7500
Sr: 0.3333 0.6667 0.1387
Sr: 0.3333 0.6667 0.4719
Sr: 0.3333 0.6667 0.6387
Sr: 0.3333 0.6667 0.9719
Sr: 0.6667 0.3333 0.0281
Sr: 0.6667 0.3333 0.3613
Sr: 0.6667 0.3333 0.5281
Sr: 0.6667 0.3333 0.8613
Ta: 0.0000 0.0000 0.0928
Ta: 0.0000 0.0000 0.4072
Ta: 0.0000 0.0000 0.5928
Ta: 0.0000 0.0000 0.9072
Ta: 0.3333 0.6667 0.3019
Ta: 0.3333 0.6667 0.8019
Ta: 0.6667 0.3333 0.1981
Ta: 0.6667 0.3333 0.6981
O: 0.0000 0.4597 0.2500
O: 0.0000 0.5403 0.7500
O: 0.1013 0.3311 0.0559
O: 0.1013 0.7702 0.5559
O: 0.1220 0.3314 0.8456
O: 0.1220 0.7906 0.3456
O: 0.2094 0.3314 0.3456
O: 0.2094 0.8780 0.8456
O: 0.2298 0.3311 0.5559
O: 0.2298 0.8987 0.0559
O: 0.3311 0.1013 0.4441
O: 0.3314 0.1220 0.6544
O: 0.3314 0.2094 0.1544
O: 0.3311 0.2298 0.9441
O: 0.4597 0.0000 0.2500
O: 0.4597 0.4597 0.7500
O: 0.5403 0.0000 0.7500
O: 0.5403 0.5403 0.2500
O: 0.6689 0.7702 0.0559
O: 0.6686 0.7906 0.8456
O: 0.6686 0.8780 0.3456
O: 0.6689 0.8987 0.5559
O: 0.7702 0.1013 0.9441
O: 0.7702 0.6689 0.4441
O: 0.7906 0.1220 0.1544
O: 0.7906 0.6686 0.6544
O: 0.8780 0.2094 0.6544
O: 0.8780 0.6686 0.1544
O: 0.8987 0.2298 0.4441
O: 0.8987 0.6689 0.9441